[1]
Structure and computed powder XRD pattern of PrTc2Ge3 (a cell relaxed with PBE; CuKα).
Neutral-atom scattering factors, no anomalous dispersion.

Principal peaks in the range 2θ from 5° to 70°, by angle:
- 2θ = 33.15°, I 73.1
- 2θ = 33.39°, I 100.0
- 2θ = 35.69°, I 63.6
- 2θ = 35.90°, I 61.6
- 2θ = 38.53°, I 56.2
- 2θ = 42.85°, I 57.2

Lattice parameters (Å, degrees): 6.2637 6.2637 5.8548 90.00 90.00 76.54
Atoms (fractional coordinates):
Pr: 0.1530 0.8470 0.7500
Pr: 0.8470 0.1530 0.2500
Tc: 0.2955 0.2955 0.0000
Tc: 0.2955 0.2955 0.5000
Tc: 0.7045 0.7045 0.0000
Tc: 0.7045 0.7045 0.5000
Ge: 0.0382 0.6168 0.2500
Ge: 0.3832 0.9618 0.2500
Ge: 0.4630 0.5370 0.2500
Ge: 0.5370 0.4630 0.7500
Ge: 0.6168 0.0382 0.7500
Ge: 0.9618 0.3832 0.7500

[2]
Structure and computed powder XRD pattern of Ga2C3N6 (a cell relaxed with PBE; CuKα).
Neutral-atom scattering factors, no anomalous dispersion.

Principal peaks in the range 2θ from 5° to 70°, by angle:
- 2θ = 19.00°, I 42.7
- 2θ = 19.11°, I 79.7
- 2θ = 22.07°, I 56.0
- 2θ = 37.03°, I 100.0
- 2θ = 50.59°, I 40.0
- 2θ = 56.05°, I 28.4

Lattice parameters (Å, degrees): 9.9019 9.9019 9.9019 33.35 33.35 33.35
Atoms (fractional coordinates):
Ga: 0.1638 0.1638 0.1638
Ga: 0.3362 0.3362 0.3362
Ga: 0.6638 0.6638 0.6638
Ga: 0.8362 0.8362 0.8362
C: 0.0589 0.7500 0.4411
C: 0.2500 0.5589 0.9411
C: 0.4411 0.0589 0.7500
C: 0.5589 0.9411 0.2500
C: 0.7500 0.4411 0.0589
C: 0.9411 0.2500 0.5589
N: 0.0391 0.6491 0.4338
N: 0.0662 0.8509 0.4609
N: 0.1491 0.5391 0.9338
N: 0.3509 0.5662 0.9609
N: 0.4338 0.0391 0.6491
N: 0.4609 0.0662 0.8509
N: 0.5391 0.9338 0.1491
N: 0.5662 0.9609 0.3509
N: 0.6491 0.4338 0.0391
N: 0.8509 0.4609 0.0662
N: 0.9338 0.1491 0.5391
N: 0.9609 0.3509 0.5662

[3]
Structure and computed powder XRD pattern of Ba3SrP2N (a cell relaxed with PBE; CuKα).
Neutral-atom scattering factors, no anomalous dispersion.

Principal peaks in the range 2θ from 5° to 70°, by angle:
- 2θ = 23.74°, I 28.5
- 2θ = 27.06°, I 100.0
- 2θ = 31.50°, I 50.7
- 2θ = 32.71°, I 54.8
- 2θ = 35.02°, I 29.3
- 2θ = 48.60°, I 29.1

Lattice parameters (Å, degrees): 4.9847 5.1239 17.0466 90.00 90.00 90.00
Atoms (fractional coordinates):
Ba: 0.0000 0.0000 0.0000
Ba: 0.0000 0.5000 0.3249
Ba: 0.0000 0.5000 0.6751
Ba: 0.5000 0.0000 0.1751
Ba: 0.5000 0.0000 0.8249
Ba: 0.5000 0.5000 0.5000
Sr: 0.0000 0.0000 0.5000
Sr: 0.5000 0.5000 0.0000
P: 0.0000 0.5000 0.1329
P: 0.0000 0.5000 0.8671
P: 0.5000 0.0000 0.3671
P: 0.5000 0.0000 0.6329
N: 0.0000 0.5000 0.5000
N: 0.5000 0.0000 0.0000

[4]
Structure and computed powder XRD pattern of Ta5TcMo2 (a cell relaxed with PBE; CuKα).
Neutral-atom scattering factors, no anomalous dispersion.

Principal peaks in the range 2θ from 5° to 70°, by angle:
- 2θ = 38.02°, I 12.6
- 2θ = 38.54°, I 87.4
- 2θ = 38.99°, I 100.0
- 2θ = 41.20°, I 27.6
- 2θ = 41.65°, I 16.5
- 2θ = 58.05°, I 20.3

Lattice parameters (Å, degrees): 5.5126 10.8323 4.6153 90.00 90.00 90.00
Atoms (fractional coordinates):
Ta: 0.0000 0.0000 0.0000
Ta: 0.1479 0.2592 0.0000
Ta: 0.1629 0.6151 0.5000
Ta: 0.3371 0.1151 0.5000
Ta: 0.3521 0.7592 0.0000
Ta: 0.5000 0.5000 0.0000
Ta: 0.6479 0.2408 0.0000
Ta: 0.6629 0.8849 0.5000
Ta: 0.8371 0.3849 0.5000
Ta: 0.8521 0.7408 0.0000
Tc: 0.0000 0.5000 0.0000
Tc: 0.5000 0.0000 0.0000
Mo: 0.1650 0.8752 0.5000
Mo: 0.3350 0.3752 0.5000
Mo: 0.6650 0.6248 0.5000
Mo: 0.8350 0.1248 0.5000

What is the formula in the first record? PrTc2Ge3